No. 1
Diffraction record for FeNi5N4. The X-ray powder pattern is calculated, not measured: it uses the PBE geometry in the Materials Project and CuKα.
Intensities are scaled so that the largest is 100.

Structural model:
```
FeNi5N4
1.0
5.804 0.000 0.000
0.000 8.561 0.000
0.000 0.000 4.081
Fe Ni N
2 10 8
Direct
0.250 0.250 0.223
0.750 0.750 0.777
0.036 0.589 0.214
0.036 0.911 0.214
0.250 0.750 0.703
0.464 0.589 0.214
0.464 0.911 0.214
0.536 0.089 0.786
0.536 0.411 0.786
0.750 0.250 0.297
0.964 0.089 0.786
0.964 0.411 0.786
0.023 0.250 0.512
0.250 0.058 0.017
0.250 0.442 0.017
0.477 0.250 0.512
0.523 0.750 0.488
0.750 0.558 0.983
0.750 0.942 0.983
0.977 0.750 0.488
```

Largest 10 diffraction maxima, by angle, 10 to 80 degrees two-theta:
| Position (°2θ) | I (rel.) |
| --- | --- |
| 37.44 | 26 |
| 38.50 | 100 |
| 39.53 | 81 |
| 44.40 | 21 |
| 53.18 | 17 |
| 59.44 | 21 |
| 65.41 | 12 |
| 67.55 | 12 |
| 71.71 | 14 |
| 77.40 | 12 |

No. 2
Diffraction record for PdAu2F8. The X-ray powder pattern is calculated, not measured: it uses the PBE geometry in the Materials Project and CuKα.
Intensities are scaled so that the largest is 100.

Structural model:
```
PdAu2F8
1.0
5.510 0.000 0.000
0.000 11.152 0.000
-5.283 0.000 5.668
Pd Au F
2 4 16
Direct
0.000 0.000 0.000
0.000 0.500 0.500
0.270 0.186 0.530
0.270 0.314 0.030
0.730 0.686 0.970
0.730 0.814 0.470
0.038 0.600 0.279
0.038 0.900 0.779
0.071 0.156 0.867
0.071 0.344 0.367
0.445 0.728 0.170
0.445 0.772 0.670
0.473 0.030 0.695
0.473 0.470 0.195
0.527 0.530 0.805
0.527 0.970 0.305
0.555 0.228 0.330
0.555 0.272 0.830
0.929 0.656 0.633
0.929 0.844 0.133
0.962 0.100 0.221
0.962 0.400 0.721
```

Largest 10 diffraction maxima, by angle, 10 to 80 degrees two-theta:
| Position (°2θ) | I (rel.) |
| --- | --- |
| 15.89 | 26 |
| 22.70 | 71 |
| 23.47 | 100 |
| 24.33 | 92 |
| 28.72 | 92 |
| 31.57 | 27 |
| 32.53 | 35 |
| 36.11 | 23 |
| 36.40 | 38 |
| 52.46 | 29 |

No. 3
Diffraction record for AlCdSbTe. The X-ray powder pattern is calculated, not measured: it uses the PBE geometry in the Materials Project and CuKα.
Intensities are scaled so that the largest is 100.

Structural model:
```
AlCdSbTe
1.0
2.259 1.304 7.472
-2.259 1.304 7.472
0.000 -2.608 7.472
Al Cd Sb Te
1 1 1 1
Direct
0.000 0.000 0.000
0.505 0.505 0.505
0.631 0.631 0.631
0.119 0.119 0.119
```

Largest 10 diffraction maxima, by angle, 10 to 80 degrees two-theta:
| Position (°2θ) | I (rel.) |
| --- | --- |
| 23.82 | 27 |
| 24.09 | 100 |
| 39.56 | 45 |
| 39.91 | 47 |
| 46.70 | 19 |
| 47.01 | 26 |
| 47.16 | 16 |
| 57.45 | 15 |
| 63.45 | 13 |
| 72.24 | 15 |

No. 4
Diffraction record for Sn. The X-ray powder pattern is calculated, not measured: it uses the PBE geometry in the Materials Project and CuKα.
Intensities are scaled so that the largest is 100.

Structural model:
```
Sn
1.0
-1.905 1.905 1.905
1.905 -1.905 1.905
1.905 1.905 -1.905
Sn
1
Direct
0.000 0.000 0.000
```

Largest 5 diffraction maxima, by angle, 10 to 80 degrees two-theta:
| Position (°2θ) | I (rel.) |
| --- | --- |
| 33.26 | 100 |
| 47.75 | 19 |
| 59.43 | 39 |
| 69.84 | 12 |
| 79.58 | 18 |

No. 5
Diffraction record for MnGa2S4. The X-ray powder pattern is calculated, not measured: it uses the PBE geometry in the Materials Project and CuKα.
Intensities are scaled so that the largest is 100.

Structural model:
```
MnGa2S4
1.0
-2.726 2.726 5.210
2.726 -2.726 5.210
2.726 2.726 -5.210
Mn Ga S
1 2 4
Direct
0.000 0.000 0.000
0.500 0.500 0.000
0.750 0.250 0.500
0.130 0.124 0.516
0.386 0.870 0.994
0.608 0.614 0.484
0.876 0.392 0.006
```

Largest 10 diffraction maxima, by angle, 10 to 80 degrees two-theta:
| Position (°2θ) | I (rel.) |
| --- | --- |
| 18.37 | 28 |
| 28.81 | 100 |
| 30.52 | 8 |
| 37.90 | 9 |
| 47.15 | 22 |
| 48.33 | 41 |
| 56.20 | 27 |
| 58.26 | 15 |
| 68.89 | 7 |
| 78.11 | 11 |

No. 6
Diffraction record for Sr3Sn2S7. The X-ray powder pattern is calculated, not measured: it uses the PBE geometry in the Materials Project and CuKα.
Intensities are scaled so that the largest is 100.

Structural model:
```
Sr3Sn2S7
1.0
11.627 0.000 0.000
0.000 12.916 0.000
0.000 0.000 4.029
Sr Sn S
6 4 14
Direct
0.000 0.000 0.000
0.112 0.353 0.000
0.388 0.853 0.000
0.500 0.500 0.000
0.612 0.147 0.000
0.888 0.647 0.000
0.222 0.608 0.500
0.278 0.108 0.500
0.722 0.892 0.500
0.778 0.392 0.500
0.000 0.500 0.500
0.079 0.179 0.500
0.151 0.705 0.000
0.203 0.934 0.500
0.297 0.434 0.500
0.349 0.205 0.000
0.421 0.679 0.500
0.500 0.000 0.500
0.579 0.321 0.500
0.651 0.795 0.000
0.703 0.566 0.500
0.797 0.066 0.500
0.849 0.295 0.000
0.921 0.821 0.500
```

Largest 10 diffraction maxima, by angle, 10 to 80 degrees two-theta:
| Position (°2θ) | I (rel.) |
| --- | --- |
| 15.70 | 36 |
| 22.02 | 34 |
| 26.88 | 98 |
| 27.19 | 100 |
| 31.37 | 79 |
| 31.70 | 34 |
| 34.16 | 34 |
| 38.16 | 42 |
| 44.97 | 58 |
| 47.95 | 35 |